No. 1
The following is a simulated powder diffraction line list of Ti3BeC. It was derived from a cell relaxed with GGA-PBE, using Cu Kα, 1.54184 Å.
Lines closer than 0.1° are merged.

Atomic structure:
```
data_Ti3BeC
_chemical_formula_sum 'Ti3 Be1 C1'
_space_group_name_H-M_alt 'P m -3 m'
_space_group_IT_number 221
_space_group_name_Hall '-P 4 2 3'
_cell_length_a 4.117
_cell_length_b 4.117
_cell_length_c 4.117
_cell_angle_alpha 90.00
_cell_angle_beta 90.00
_cell_angle_gamma 90.00
loop_
_atom_site_label
_atom_site_type_symbol
_atom_site_fract_x
_atom_site_fract_y
_atom_site_fract_z
Ti1 Ti 0.000 0.000 0.500
Be1 Be 0.500 0.500 0.500
C1 C 0.000 0.000 0.000
```

Largest 10 diffraction maxima, sorted by position, 10° ≤ 2θ ≤ 90°:
2θ (°)  I (rel.)  hkl
21.59  50.6  1 0 0
30.71  13.0  1 1 0
37.85  100.0  1 1 1
43.99  61.8  2 0 0
49.51  17.4  2 1 0
54.61  5.1  2 1 1
63.97  35.7  2 2 0
68.36  7.1  3 0 0
76.79  31.9  3 1 1
80.89  11.5  2 2 2

No. 2
The following is a simulated powder diffraction line list of Ti6BeC3. It was derived from a cell relaxed with GGA-PBE, using Cu Kα, 1.54184 Å.
Lines closer than 0.1° are merged.

Atomic structure:
```
data_Ti6BeC3
_chemical_formula_sum 'Ti12 Be2 C6'
_space_group_name_H-M_alt 'P 1 21/m 1'
_space_group_IT_number 11
_cell_length_a 9.370
_cell_length_b 3.128
_cell_length_c 9.530
_cell_angle_alpha 90.00
_cell_angle_beta 115.87
_cell_angle_gamma 90.00
loop_
_space_group_symop_operation_xyz
'x,y,z'
'-x,-y,-z'
'-x,y+1/2,-z'
'x,-y+1/2,z'
loop_
_atom_site_label
_atom_site_type_symbol
_atom_site_fract_x
_atom_site_fract_y
_atom_site_fract_z
Ti1 Ti 0.048 0.250 0.397
Ti2 Ti 0.098 0.750 0.932
Ti3 Ti 0.236 0.750 0.270
Ti4 Ti 0.245 0.250 0.785
Ti5 Ti 0.425 0.250 0.571
Ti6 Ti 0.451 0.250 0.116
Be1 Be 0.233 0.750 0.584
C1 C 0.012 0.250 0.769
C2 C 0.340 0.750 0.954
C3 C 0.405 0.250 0.336
```

Largest 10 diffraction maxima, sorted by position, 10° ≤ 2θ ≤ 90°:
2θ (°)  I (rel.)  hkl
18.68  24.7  1 0 -2
34.50  85.4  2 1 -1
35.79  100.0  2 0 2
37.88  78.2  2 0 -4
38.51  93.4  4 0 -2
40.60  53.5  1 1 -3
40.99  30.0  3 1 -1
42.87  69.0  0 1 3
59.07  32.2  0 2 0
72.75  26.4  4 2 -2

Question: Number 2 is which compound?
Answer: Ti6BeC3

Question: What is the formula in the second record?
Answer: Ti6BeC3